# B4PF9
Calculated powder diffraction line list, Cu Kα. Input: a cell relaxed with PBE.
Kinematic intensities with the Lorentz-polarization factor, no thermal factor.

```
B4PF9
1.0
14.066 0.000 0.000
0.000 10.689 0.000
0.000 0.000 6.127
B P F
16 4 36
Cartesian
3.121 2.672 1.071 B
3.238 1.289 4.826 B
3.238 4.055 4.826 B
3.252 8.017 2.574 B
3.781 2.672 5.638 B
3.795 6.633 1.762 B
3.795 9.400 1.762 B
3.912 8.017 4.134 B
10.154 2.672 1.993 B
10.270 1.289 4.365 B
10.270 4.055 4.365 B
10.285 8.017 0.489 B
10.814 2.672 3.553 B
10.828 6.633 1.301 B
10.828 9.400 1.301 B
10.945 8.017 5.057 B
1.406 8.017 2.625 P
5.627 2.672 5.689 P
8.438 8.017 0.438 P
12.660 2.672 3.502 P
0.695 8.017 1.245 F
0.726 6.813 3.332 F
0.726 9.220 3.332 F
1.801 2.672 1.275 F
1.940 1.072 4.594 F
1.940 4.272 4.594 F
2.971 5.662 1.301 F
2.971 10.371 1.301 F
3.164 8.017 5.264 F
3.869 2.672 2.200 F
4.062 0.318 4.365 F
4.062 5.027 4.365 F
5.093 6.417 1.530 F
5.093 9.617 1.530 F
5.232 8.017 4.339 F
6.307 1.469 0.268 F
6.307 3.876 0.268 F
6.338 2.672 4.309 F
7.728 8.017 1.818 F
7.758 6.813 5.859 F
7.758 9.220 5.859 F
8.834 2.672 1.788 F
8.972 1.072 4.597 F
8.972 4.272 4.597 F
10.004 5.662 1.763 F
10.004 10.371 1.763 F
10.196 8.017 3.927 F
10.902 2.672 0.864 F
11.095 0.318 4.826 F
11.095 5.027 4.826 F
12.126 6.417 1.534 F
12.126 9.617 1.534 F
12.265 8.017 4.852 F
13.340 1.469 2.796 F
13.340 3.876 2.796 F
13.371 2.672 4.882 F
```

Peak list (10 most intense, 10 to 90 degrees two-theta, by angle)
index	2θ/deg	I_rel
2 0 0	12.6	55
1 0 1	15.8	76
0 2 0	16.6	100
1 1 1	17.8	48
3 1 1	25.3	52
4 1 0	26.7	41
0 3 1	29.0	39
2 3 1	31.7	73
2 1 2	33.0	45
2 4 1	38.9	64